MgFe2Ru: calculated powder XRD pattern (Cu Kα), based on a cell relaxed with GGA-PBE.

Principal peaks in the range 2θ from 5° to 70°, by angle:
8.532 Å, I = 92; 2.390 Å, I = 11; 2.160 Å, I = 26; 2.151 Å, I = 100; 2.133 Å, I = 24; 2.094 Å, I = 6; 1.873 Å, I = 11; 1.706 Å, I = 3; 1.523 Å, I = 8; 1.518 Å, I = 15

Structure:
```
data_MgFe2Ru
_space_group_name_H-M_alt 'C m m m'
_space_group_IT_number 65
_space_group_name_Hall '-C 2 2'
_cell_length_a 3.0469
_cell_length_b 4.3207
_cell_length_c 8.5322
_cell_angle_alpha 90.00
_cell_angle_beta 90.00
_cell_angle_gamma 90.00
loop_
_atom_site_label
_atom_site_type_symbol
_atom_site_fract_x
_atom_site_fract_y
_atom_site_fract_z
Mg1 Mg 0.0000 0.0000 0.0000
Fe1 Fe 0.0000 0.5000 0.2615
Ru1 Ru 0.0000 0.0000 0.5000
```


Mg2FeRu: calculated powder XRD pattern (Cu Kα), based on a cell relaxed with GGA-PBE.

Principal peaks in the range 2θ from 5° to 70°, by angle:
7.087 Å, I = 100; 3.543 Å, I = 5; 2.795 Å, I = 10; 2.308 Å, I = 65; 2.151 Å, I = 33; 2.058 Å, I = 17; 1.866 Å, I = 25; 1.521 Å, I = 11; 1.487 Å, I = 6; 1.367 Å, I = 5

Structure:
```
data_Mg2FeRu
_space_group_name_H-M_alt 'P 4 m m'
_space_group_IT_number 99
_cell_length_a 3.0418
_cell_length_b 3.0418
_cell_length_c 7.0866
_cell_angle_alpha 90.00
_cell_angle_beta 90.00
_cell_angle_gamma 90.00
loop_
_space_group_symop_operation_xyz
'x,y,z'
'-y,x,z'
'-x,-y,z'
'y,-x,z'
'-x,y,z'
'y,x,z'
'x,-y,z'
'-y,-x,z'
loop_
_atom_site_label
_atom_site_type_symbol
_atom_site_fract_x
_atom_site_fract_y
_atom_site_fract_z
Mg1 Mg 0.0000 0.0000 0.0000
Mg2 Mg 0.5000 0.5000 0.3354
Fe1 Fe 0.5000 0.5000 0.7589
Ru1 Ru 0.0000 0.0000 0.5846
```


MgFe2S4: calculated powder XRD pattern (Cu Kα), based on a cell relaxed with GGA-PBE.

Principal peaks in the range 2θ from 5° to 70°, by angle:
5.802 Å, I = 78; 5.683 Å, I = 17; 2.504 Å, I = 100; 2.451 Å, I = 48; 1.937 Å, I = 13; 1.799 Å, I = 15; 1.752 Å, I = 60; 1.743 Å, I = 16; 1.450 Å, I = 13; 1.421 Å, I = 15

Structure:
```
data_MgFe2S4
_space_group_name_H-M_alt 'I m m a'
_space_group_IT_number 74
_space_group_name_Hall '-I 2b 2'
_cell_length_a 6.9740
_cell_length_b 7.1971
_cell_length_c 9.8033
_cell_angle_alpha 90.00
_cell_angle_beta 90.00
_cell_angle_gamma 90.00
loop_
_atom_site_label
_atom_site_type_symbol
_atom_site_fract_x
_atom_site_fract_y
_atom_site_fract_z
Mg1 Mg 0.0000 0.0000 0.0000
Fe1 Fe 0.0000 0.0000 0.5000
Fe2 Fe 0.2500 0.2500 0.2500
S1 S 0.0000 0.0359 0.2558
S2 S 0.2427 0.2500 0.4879
```


Mg2TiFe3S8: calculated powder XRD pattern (Cu Kα), based on a cell relaxed with GGA-PBE.

Principal peaks in the range 2θ from 5° to 70°, by angle:
5.792 Å, I = 53; 5.601 Å, I = 40; 3.035 Å, I = 22; 3.006 Å, I = 35; 2.951 Å, I = 17; 2.487 Å, I = 100; 1.916 Å, I = 21; 1.895 Å, I = 22; 1.781 Å, I = 52; 1.736 Å, I = 41

Structure:
```
data_Mg2TiFe3S8
_space_group_name_H-M_alt 'R -3 m'
_space_group_IT_number 166
_space_group_name_Hall '-R 3 2"'
_cell_length_a 7.1251
_cell_length_b 7.1251
_cell_length_c 16.8040
_cell_angle_alpha 90.00
_cell_angle_beta 90.00
_cell_angle_gamma 120.00
loop_
_atom_site_label
_atom_site_type_symbol
_atom_site_fract_x
_atom_site_fract_y
_atom_site_fract_z
Mg1 Mg 0.0000 0.0000 0.1250
Ti1 Ti 0.0000 0.0000 0.5000
Fe1 Fe 0.0000 0.5000 0.0000
S1 S 0.0000 0.0000 0.2686
S2 S 0.0308 0.5154 0.2606
```


MgVFeS4: calculated powder XRD pattern (Cu Kα), based on a cell relaxed with GGA-PBE.

Principal peaks in the range 2θ from 5° to 70°, by angle:
5.847 Å, I = 43; 5.741 Å, I = 88; 3.033 Å, I = 42; 2.988 Å, I = 34; 2.545 Å, I = 52; 2.491 Å, I = 100; 1.910 Å, I = 32; 1.786 Å, I = 26; 1.780 Å, I = 94; 1.738 Å, I = 21

Structure:
```
data_MgVFeS4
_space_group_name_H-M_alt 'I m m a'
_space_group_IT_number 74
_space_group_name_Hall '-I 2b 2'
_cell_length_a 6.9524
_cell_length_b 7.1440
_cell_length_c 10.1788
_cell_angle_alpha 90.00
_cell_angle_beta 90.00
_cell_angle_gamma 90.00
loop_
_atom_site_label
_atom_site_type_symbol
_atom_site_fract_x
_atom_site_fract_y
_atom_site_fract_z
Mg1 Mg 0.0000 0.2500 0.1255
V1 V 0.2500 0.2500 0.7500
Fe1 Fe 0.0000 0.0000 0.5000
S1 S 0.0000 0.0173 0.7288
S2 S 0.2145 0.2500 0.5109
```


MgFe4Sb12: calculated powder XRD pattern (Cu Kα), based on a cell relaxed with GGA-PBE.

Principal peaks in the range 2θ from 5° to 70°, by angle:
2.910 Å, I = 100; 2.460 Å, I = 44; 2.169 Å, I = 8; 2.058 Å, I = 21; 1.962 Å, I = 9; 1.879 Å, I = 18; 1.805 Å, I = 19; 1.578 Å, I = 24; 1.534 Å, I = 10; 1.357 Å, I = 18

Structure:
```
data_MgFe4Sb12
_space_group_name_H-M_alt 'I m -3'
_space_group_IT_number 204
_space_group_name_Hall '-I 2 2 3'
_cell_length_a 9.2033
_cell_length_b 9.2033
_cell_length_c 9.2033
_cell_angle_alpha 90.00
_cell_angle_beta 90.00
_cell_angle_gamma 90.00
loop_
_atom_site_label
_atom_site_type_symbol
_atom_site_fract_x
_atom_site_fract_y
_atom_site_fract_z
Mg1 Mg 0.0000 0.0000 0.0000
Fe1 Fe 0.2500 0.2500 0.2500
Sb1 Sb 0.0000 0.3306 0.1601
```